Simulated powder diffraction line list
Compound: V3Zn3N
Radiation: a wavelength of 1.5418 Å
Structure: the GGA-PBE geometry in Alexandria
No peak broadening, texture or thermal motion is included.

The 10 most intense peaks (2θ = 5–70°), most intense first:
42.2 deg, rel. 100
39.7 deg, rel. 27
46.2 deg, rel. 22
49.1 deg, rel. 13
13.8 deg, rel. 11
32.2 deg, rel. 9
48.4 deg, rel. 9
57.4 deg, rel. 8
59.3 deg, rel. 7
54.7 deg, rel. 6

Cell: 7.866 7.866 7.866 Å, 60.00 60.00 60.00°
Fractional positions:
V1 0.051 0.051 0.699
V2 0.051 0.699 0.051
V3 0.051 0.699 0.699
V4 0.301 0.301 0.949
V5 0.301 0.949 0.301
V6 0.301 0.949 0.949
V7 0.699 0.051 0.051
V8 0.699 0.051 0.699
V9 0.699 0.699 0.051
V10 0.949 0.301 0.301
V11 0.949 0.301 0.949
V12 0.949 0.949 0.301
Zn1 0.000 0.500 0.500
Zn2 0.289 0.289 0.289
Zn3 0.289 0.289 0.632
Zn4 0.289 0.632 0.289
Zn5 0.368 0.711 0.711
Zn6 0.500 0.000 0.500
Zn7 0.500 0.500 0.000
Zn8 0.500 0.500 0.500
Zn9 0.632 0.289 0.289
Zn10 0.711 0.368 0.711
Zn11 0.711 0.711 0.368
Zn12 0.711 0.711 0.711
N1 0.000 0.000 0.000
N2 0.000 0.000 0.500
N3 0.000 0.500 0.000
N4 0.500 0.000 0.000